Entry 1:
Computed powder diffraction line list of AgGeO3 for Cu Kα (λ = 1.5418 Å), from DFT lattice parameters and positions (PBE).
Intensities are scaled so that the largest is 100.

Structural model:
```
10
Lattice="3.170 0.000 0.000 0.035 5.158 0.000 0.007 0.066 9.308" Properties=species:S:1:pos:R:3 pbc="T T T"
Ag 0.000 0.000 0.000
Ag 0.062 5.156 4.649
Ge 1.610 2.110 2.323
Ge 1.642 3.090 6.996
O 0.025 3.042 2.326
O 0.057 2.162 7.018
O 1.589 1.133 0.840
O 1.628 4.103 8.452
O 1.612 1.113 3.790
O 1.649 4.018 5.484
```

Most intense lines, 10 to 90 degrees two-theta, sorted by position:
2θ/deg, I_rel, (hkl)
19.6, 14, 0 1 1
25.7, 100, 0 1 2
25.9, 99, 0 1 -2
33.1, 32, 1 1 0
33.3, 33, 1 -1 0
34.2, 62, 1 0 2
34.8, 17, 0 2 0
38.7, 33, 0 0 4
49.6, 19, -1 2 2
51.9, 21, 1 1 -4
53.2, 14, 0 2 -4
64.8, 16, 2 -1 2

---

Entry 2:
Computed powder diffraction line list of CeP2Ir2 for Cu Kα (λ = 1.5418 Å), from DFT lattice parameters and positions (PBE).
Intensities are scaled so that the largest is 100.

Structural model:
```
10
Lattice="4.158 0.000 0.000 0.000 4.158 0.000 0.000 0.000 9.597" Properties=species:S:1:pos:R:3 pbc="T T T"
Ce 1.040 1.040 2.327
Ce 3.119 3.119 7.269
P 1.040 1.040 6.141
P 1.040 3.119 0.000
P 3.119 1.040 0.000
P 3.119 3.119 3.455
Ir 1.040 1.040 8.500
Ir 1.040 3.119 4.798
Ir 3.119 1.040 4.798
Ir 3.119 3.119 1.096
```

Most intense lines, 10 to 90 degrees two-theta, sorted by position:
2θ/deg, I_rel, (hkl)
27.9, 27, 0 0 3
28.4, 33, 1 0 2
31.8, 98, 1 1 1
35.4, 87, 1 0 3
35.8, 100, 1 1 2
43.5, 89, 2 0 0
49.0, 31, 1 1 4
52.5, 37, 2 0 3
57.3, 44, 2 1 3
63.3, 31, 2 2 0
66.6, 26, 1 1 6
74.9, 23, 3 1 2